Entry 1:
Theoretical powder diffraction line list
Compound: TaCo28
Radiation: CuKα
Structure: the GGA-PBE geometry in OQMD
Kinematic intensities with the Lorentz-polarization factor, no thermal factor.

Crystal structure
a = 8.599 Å, b = 8.599 Å, c = 8.599 Å
α = 90.00°, β = 90.00°, γ = 90.00°
Space group I-43m (No. 217)
Inequivalent atoms, fractional coordinates:
Ta 0.000 0.000 0.000 x2
Co 0.043 0.359 0.641 x24
Co 0.092 0.092 0.716 x24
Co 0.182 0.182 0.182 x8

Most intense lines, 2θ = 15–90°, by intensity:
44.7 deg, I 100; 49.7 deg, I 22; 82.4 deg, I 22; 52.1 deg, I 12; 78.7 deg, I 11; 39.2 deg, I 9; 54.4 deg, I 8; 89.8 deg, I 5; 76.8 deg, I 4; 25.4 deg, I 4

***

Entry 2:
Theoretical powder diffraction line list
Compound: LaNdIn2Ni4
Radiation: CuKα
Structure: the GGA-PBE geometry in OQMD
Kinematic intensities with the Lorentz-polarization factor, no thermal factor.

Crystal structure
a = 4.4516 Å, b = 4.4516 Å, c = 9.0454 Å
α = 90.00°, β = 90.00°, γ = 120.00°
Space group P-6m2 (No. 187)
Inequivalent atoms, fractional coordinates:
La 0.0000 0.0000 0.0000 x1
Nd 0.3333 0.6667 0.5000 x1
In 0.6667 0.3333 0.2563 x2
Ni 0.0000 0.0000 0.3160 x2
Ni 0.3333 0.6667 0.1874 x2

Most intense lines, 2θ = 15–90°, by intensity:
40.5 deg, I 100; 37.9 deg, I 84; 30.5 deg, I 58; 58.2 deg, I 28; 25.1 deg, I 28; 56.7 deg, I 25; 72.0 deg, I 24; 73.7 deg, I 16; 66.6 deg, I 16; 39.9 deg, I 15

***

Entry 3:
Theoretical powder diffraction line list
Compound: KTb4ClO6
Radiation: CuKα
Structure: the GGA-PBE geometry in OQMD
Kinematic intensities with the Lorentz-polarization factor, no thermal factor.

Crystal structure
a = 6.6484 Å, b = 6.6484 Å, c = 8.6192 Å
α = 90.00°, β = 90.00°, γ = 120.00°
Space group P6/mmm (No. 191)
Inequivalent atoms, fractional coordinates:
K 0.0000 0.0000 0.0000 x1
Tb 0.3333 0.6667 0.2631 x4
Cl 0.0000 0.0000 0.5000 x1
O 0.0000 0.5000 0.1831 x6

Most intense lines, 2θ = 15–90°, by intensity:
26.8 deg, I 100; 25.8 deg, I 83; 34.1 deg, I 65; 15.4 deg, I 59; 20.6 deg, I 53; 50.5 deg, I 35; 46.8 deg, I 32; 47.4 deg, I 21; 52.2 deg, I 20; 37.6 deg, I 19